Theoretical powder XRD pattern
Compound: TlCo4F8
Radiation: Cu Kα X-rays
Structure: a DFT-relaxed cell (GGA+U, Alexandria)
Intensities are scaled so that the largest is 100.

```
data_TlCo4F8
_chemical_formula_sum 'Tl1 Co4 F8'
_symmetry_space_group_name_H-M 'P 1'
_symmetry_Int_Tables_number 1
_cell_length_a 7.5713
_cell_length_b 7.5713
_cell_length_c 10.2946
_cell_angle_alpha 131.13
_cell_angle_beta 131.13
_cell_angle_gamma 24.52
loop_
_symmetry_equiv_pos_as_xyz
'x,y,z'
loop_
_atom_site_label
_atom_site_type_symbol
_atom_site_fract_x
_atom_site_fract_y
_atom_site_fract_z
Tl1 Tl 0.0000 0.0000 0.0000
Co1 Co 0.1474 0.1474 0.4809
Co2 Co 0.3411 0.3411 0.1827
Co3 Co 0.6589 0.6589 0.8173
Co4 Co 0.8526 0.8526 0.5191
F1 F 0.0389 0.0389 0.7276
F2 F 0.2866 0.2866 0.9341
F3 F 0.3373 0.3373 0.6397
F4 F 0.3549 0.3549 0.3938
F5 F 0.6451 0.6451 0.6062
F6 F 0.6627 0.6627 0.3603
F7 F 0.7134 0.7134 0.0659
F8 F 0.9611 0.9611 0.2724
```

Most intense lines, 2θ from 15° to 90°, in order of rising 2θ:
| two_theta | I (rel.) |
| --- | --- |
| 23.37 | 54.3 |
| 25.66 | 71.1 |
| 26.17 | 98.7 |
| 27.00 | 93.8 |
| 27.49 | 67.2 |
| 33.61 | 100.0 |
| 33.75 | 76.0 |
| 37.28 | 71.0 |
| 38.37 | 65.2 |
| 46.14 | 51.4 |